Entry 1:
Theoretical XRD peak list
Compound: Hf3TlS5
Radiation: Cu Kα X-rays
Structure: DFT lattice parameters and positions (GGA-PBE)

Peak list (12 most intense, 10 to 90 degrees two-theta, low angle first)
| 2θ (°) | I (rel.) |
| --- | --- |
| 12.5 | 622 |
| 21.2 | 1000 |
| 25.2 | 382 |
| 32.3 | 387 |
| 34.4 | 641 |
| 36.7 | 298 |
| 42.1 | 196 |
| 43.1 | 969 |
| 47.9 | 246 |
| 61.6 | 194 |
| 63.6 | 225 |
| 78.1 | 171 |

Cell and atoms:
```
9
Lattice="6.0212 0.0000 0.0000 -3.0106 5.2145 0.0000 0.0000 0.0000 7.0713" Properties=species:S:1:pos:R:3 pbc="T T T"
Hf -1.5053 2.6073 0.0000
Hf 3.0106 0.0000 0.0000
Hf 1.5053 2.6073 0.0000
Tl 0.0000 0.0000 3.5357
S 0.0000 0.0000 0.0000
S 0.0000 3.4764 1.8461
S 0.0000 3.4764 5.2252
S 3.0106 1.7382 1.8461
S 3.0106 1.7382 5.2252
```

Entry 2:
Theoretical XRD peak list
Compound: Hf9W4S
Radiation: Cu Kα X-rays
Structure: DFT lattice parameters and positions (GGA-PBE)

Peak list (12 most intense, 10 to 90 degrees two-theta, low angle first)
| 2θ (°) | I (rel.) |
| --- | --- |
| 11.8 | 263 |
| 31.6 | 178 |
| 33.5 | 263 |
| 35.8 | 184 |
| 37.3 | 734 |
| 38.0 | 1000 |
| 39.6 | 440 |
| 41.5 | 222 |
| 42.2 | 167 |
| 62.9 | 249 |
| 65.7 | 236 |
| 66.0 | 281 |

Cell and atoms:
```
28
Lattice="8.6942 0.0000 0.0000 -4.3471 7.5294 0.0000 0.0000 0.0000 8.5712" Properties=species:S:1:pos:R:3 pbc="T T T"
Hf -1.5938 4.0994 2.1428
Hf 0.0000 2.9534 4.7318
Hf 0.0000 2.9534 8.1250
Hf -1.7894 6.0527 4.7318
Hf -1.7894 6.0527 8.1250
Hf 2.5577 1.4767 0.4462
Hf 2.5577 1.4767 3.8394
Hf 1.5938 4.0994 2.1428
Hf 0.0000 6.8600 2.1428
Hf 4.3471 0.6694 6.4284
Hf 2.7533 3.4300 6.4284
Hf 1.7894 6.0527 4.7318
Hf 1.7894 6.0527 8.1250
Hf 6.1365 1.4767 0.4462
Hf 6.1365 1.4767 3.8394
Hf 4.3471 4.5760 0.4462
Hf 4.3471 4.5760 3.8394
Hf 5.9409 3.4300 6.4284
W 0.0000 0.0000 0.0000
W 0.0000 0.0000 4.2856
W 0.0000 1.6722 2.1428
W -2.8990 6.6933 2.1428
W 1.4482 0.8361 6.4284
W 2.8989 6.6933 2.1428
W 7.2461 0.8361 6.4284
W 4.3471 5.8572 6.4284
S 0.0000 5.0196 6.4284
S 4.3471 2.5098 2.1428
```

Entry 3:
Theoretical XRD peak list
Compound: HfZrS6
Radiation: Cu Kα X-rays
Structure: DFT lattice parameters and positions (GGA-PBE)

Peak list (12 most intense, 10 to 90 degrees two-theta, low angle first)
| 2θ (°) | I (rel.) |
| --- | --- |
| 19.1 | 520 |
| 19.3 | 210 |
| 20.5 | 541 |
| 24.9 | 235 |
| 30.2 | 177 |
| 31.4 | 1000 |
| 41.3 | 280 |
| 43.5 | 291 |
| 43.7 | 211 |
| 45.1 | 244 |
| 46.4 | 160 |
| 50.4 | 170 |

Cell and atoms:
```
8
Lattice="5.1428 0.0000 0.0000 0.0000 3.6234 0.0000 -0.7740 0.0000 9.2113" Properties=species:S:1:pos:R:3 pbc="T T T"
Hf 0.0000 0.0000 0.0000
Zr 2.5686 1.8117 2.7739
S -0.0003 1.8117 1.8554
S 0.2511 1.8117 7.6360
S 1.5497 0.0000 4.3828
S 2.5680 0.0000 0.8806
S 3.3053 1.8117 7.6766
S 3.6286 0.0000 4.3401
```

Entry 4:
Theoretical XRD peak list
Compound: Hf5Sb9
Radiation: Cu Kα X-rays
Structure: DFT lattice parameters and positions (GGA-PBE)

Peak list (12 most intense, 10 to 90 degrees two-theta, low angle first)
| 2θ (°) | I (rel.) |
| --- | --- |
| 24.8 | 382 |
| 30.5 | 206 |
| 30.7 | 287 |
| 32.1 | 540 |
| 33.7 | 782 |
| 38.3 | 893 |
| 38.4 | 1000 |
| 46.0 | 566 |
| 57.7 | 194 |
| 61.4 | 496 |
| 67.1 | 174 |
| 80.0 | 247 |

Cell and atoms:
```
28
Lattice="8.8218 0.0000 0.0000 0.0000 8.8218 0.0000 0.0000 0.0000 8.7373" Properties=species:S:1:pos:R:3 pbc="T T T"
Hf 0.3832 7.5437 2.0414
Hf 1.2781 4.7941 6.6959
Hf 2.2055 2.2055 2.1382
Hf 3.1328 8.4386 6.6959
Hf 4.0277 5.6890 2.0414
Hf 4.7941 3.1328 6.6959
Hf 5.6890 0.3832 2.0414
Hf 6.6164 6.6164 6.5992
Hf 7.5437 4.0277 2.0414
Hf 8.4386 1.2781 6.6959
Sb 0.1655 2.9124 4.3507
Sb 0.4686 7.4718 7.7102
Sb 1.3500 4.8795 1.0271
Sb 1.4985 0.1655 4.3507
Sb 2.2055 2.2055 7.7981
Sb 2.9124 4.2454 4.3507
Sb 3.0609 8.3532 1.0271
Sb 3.9423 5.7609 7.7102
Sb 4.2454 1.4985 4.3507
Sb 4.5764 7.3233 4.3866
Sb 4.8795 3.0609 1.0271
Sb 5.7609 0.4686 7.7102
Sb 5.9095 4.5764 4.3866
Sb 6.6164 6.6164 0.9393
Sb 7.3233 8.6563 4.3866
Sb 7.4718 3.9423 7.7102
Sb 8.3532 1.3500 1.0271
Sb 8.6563 5.9095 4.3866
```

Entry 5:
Theoretical XRD peak list
Compound: YHfSc2Sb2
Radiation: Cu Kα X-rays
Structure: DFT lattice parameters and positions (GGA-PBE)

Peak list (12 most intense, 10 to 90 degrees two-theta, low angle first)
| 2θ (°) | I (rel.) |
| --- | --- |
| 11.0 | 385 |
| 22.1 | 311 |
| 30.0 | 955 |
| 32.1 | 751 |
| 33.4 | 364 |
| 35.1 | 733 |
| 37.6 | 1000 |
| 43.0 | 726 |
| 55.5 | 329 |
| 56.7 | 366 |
| 75.3 | 249 |
| 83.7 | 278 |

Cell and atoms:
```
6
Lattice="-2.1028 2.1028 8.0494 2.1028 -2.1028 8.0494 2.1028 2.1028 -8.0494" Properties=species:S:1:pos:R:3 pbc="T T T"
Y 0.0000 0.0000 0.0000
Hf 0.0000 0.0000 5.6995
Sc 2.1028 0.0000 2.9528
Sc 0.0000 2.1028 2.9528
Sb 0.0000 0.0000 8.7937
Sb 0.0000 0.0000 13.1109
```

Entry 6:
Theoretical XRD peak list
Compound: HfZrSc2Sb2
Radiation: Cu Kα X-rays
Structure: DFT lattice parameters and positions (GGA-PBE)

Peak list (12 most intense, 10 to 90 degrees two-theta, low angle first)
| 2θ (°) | I (rel.) |
| --- | --- |
| 11.1 | 476 |
| 22.3 | 288 |
| 30.9 | 1000 |
| 32.9 | 867 |
| 33.7 | 426 |
| 35.7 | 760 |
| 38.4 | 937 |
| 44.3 | 749 |
| 56.8 | 369 |
| 58.1 | 368 |
| 68.7 | 285 |
| 85.4 | 321 |

Cell and atoms:
```
6
Lattice="-2.0464 2.0464 7.9729 2.0464 -2.0464 7.9729 2.0464 2.0464 -7.9729" Properties=species:S:1:pos:R:3 pbc="T T T"
Hf 0.0000 0.0000 0.0000
Zr 0.0000 0.0000 5.7106
Sc 2.0464 0.0000 2.8358
Sc 0.0000 2.0464 2.8358
Sb 0.0000 0.0000 8.6354
Sb 0.0000 0.0000 12.9965
```

Entry 7:
Theoretical XRD peak list
Compound: SmYHf2Sb2
Radiation: Cu Kα X-rays
Structure: DFT lattice parameters and positions (GGA-PBE)

Peak list (12 most intense, 10 to 90 degrees two-theta, low angle first)
| 2θ (°) | I (rel.) |
| --- | --- |
| 10.6 | 397 |
| 31.4 | 921 |
| 32.2 | 313 |
| 34.1 | 295 |
| 36.7 | 1000 |
| 42.2 | 542 |
| 54.1 | 290 |
| 55.3 | 145 |
| 61.2 | 180 |
| 70.4 | 182 |
| 70.8 | 197 |
| 73.5 | 262 |

Cell and atoms:
```
6
Lattice="-2.1428 2.1428 8.3327 2.1428 -2.1428 8.3327 2.1428 2.1428 -8.3327" Properties=species:S:1:pos:R:3 pbc="T T T"
Sm 0.0000 0.0000 0.0000
Y 0.0000 0.0000 10.7834
Hf 2.1428 0.0000 5.3712
Hf 0.0000 2.1428 5.3712
Sb 0.0000 0.0000 3.2111
Sb 0.0000 0.0000 7.5394
```

Entry 8:
Theoretical XRD peak list
Compound: YTmHf2Sb2
Radiation: Cu Kα X-rays
Structure: DFT lattice parameters and positions (GGA-PBE)

Peak list (12 most intense, 10 to 90 degrees two-theta, low angle first)
| 2θ (°) | I (rel.) |
| --- | --- |
| 10.8 | 345 |
| 31.7 | 959 |
| 32.7 | 345 |
| 34.5 | 273 |
| 37.1 | 1000 |
| 42.5 | 551 |
| 44.1 | 149 |
| 54.7 | 391 |
| 61.7 | 182 |
| 71.1 | 189 |
| 71.6 | 205 |
| 74.2 | 262 |

Cell and atoms:
```
6
Lattice="-2.1253 2.1253 8.2160 2.1253 -2.1253 8.2160 2.1253 2.1253 -8.2160" Properties=species:S:1:pos:R:3 pbc="T T T"
Y 0.0000 0.0000 0.0000
Tm 0.0000 0.0000 5.7802
Hf 2.1253 0.0000 2.9109
Hf 0.0000 2.1253 2.9109
Sb 0.0000 0.0000 8.9420
Sb 0.0000 0.0000 13.3012
```